The following is a theoretical PXRD pattern of Pa2BeGaN5. It was derived from the PBE geometry in Alexandria, using Cu Kα (λ = 1.5418 Å).

Cell and atoms:
```
Pa2BeGaN5
1.0
1.6440 -6.5679 0.0000
1.6440 6.5679 0.0000
0.0000 0.0000 9.4569
Pa Be Ga N
4 2 2 10
Direct
0.1207 0.8793 0.5000
0.1281 0.8719 0.1051
0.8719 0.1281 0.6051
0.8793 0.1207 0.0000
0.4959 0.5041 0.2908
0.5041 0.4959 0.7908
0.1918 0.8082 0.8073
0.8082 0.1918 0.3073
0.0376 0.9624 0.8503
0.2972 0.7028 0.4698
0.3029 0.6971 0.1596
0.3602 0.6398 0.8273
0.4938 0.5062 0.6026
0.5062 0.4938 0.1026
0.6398 0.3602 0.3273
0.6971 0.3029 0.6596
0.7028 0.2972 0.9698
0.9624 0.0376 0.3503
```

Peak list (10 most intense, 5 to 70 degrees two-theta, by intensity)
| d (Å) | 2θ/deg | I/Imax |
| --- | --- | --- |
| 2.842 | 31.5 | 100 |
| 2.242 | 40.2 | 87 |
| 3.190 | 28.0 | 85 |
| 4.728 | 18.8 | 78 |
| 3.284 | 27.2 | 77 |
| 2.697 | 33.2 | 65 |
| 2.629 | 34.1 | 63 |
| 2.644 | 33.9 | 48 |
| 1.883 | 48.3 | 45 |
| 1.643 | 56.0 | 30 |

***

The following is a theoretical PXRD pattern of Y7CoSe5. It was derived from the PBE geometry in Alexandria, using Cu Kα (λ = 1.5418 Å).

Cell and atoms:
```
Y7CoSe5
1.0
1.9688 -6.7341 0.0000
1.9688 6.7341 0.0000
0.0000 0.0000 24.3956
Y Co Se
14 2 10
Direct
0.0512 0.9488 0.5000
0.1321 0.8679 0.2150
0.1462 0.8538 0.7903
0.2887 0.7113 0.4328
0.3019 0.6981 0.5679
0.3981 0.6019 0.1245
0.4228 0.5772 0.8626
0.5772 0.4228 0.3626
0.6019 0.3981 0.6245
0.6981 0.3019 0.0679
0.7113 0.2887 0.9328
0.8538 0.1462 0.2903
0.8679 0.1321 0.7150
0.9488 0.0512 0.0000
0.3086 0.6914 0.0113
0.6914 0.3086 0.5113
0.0507 0.9493 0.1075
0.0636 0.9364 0.8971
0.2132 0.7868 0.3232
0.2268 0.7732 0.6795
0.4900 0.5100 0.2487
0.5100 0.4900 0.7487
0.7732 0.2268 0.1795
0.7868 0.2132 0.8232
0.9364 0.0636 0.3971
0.9493 0.0507 0.6075
```

Peak list (10 most intense, 5 to 70 degrees two-theta, by intensity)
| d (Å) | 2θ/deg | I/Imax |
| --- | --- | --- |
| 2.780 | 32.2 | 100 |
| 2.877 | 31.1 | 77 |
| 3.095 | 28.8 | 50 |
| 2.203 | 41.0 | 36 |
| 2.939 | 30.4 | 34 |
| 1.969 | 46.1 | 32 |
| 2.023 | 44.8 | 28 |
| 2.039 | 44.4 | 24 |
| 2.050 | 44.2 | 24 |
| 1.661 | 55.3 | 16 |

***

The following is a theoretical PXRD pattern of Rb2SrPF6. It was derived from the PBE geometry in Alexandria, using Cu Kα (λ = 1.5418 Å).

Cell and atoms:
```
Rb2SrPF6
1.0
-3.0630 3.0630 5.7120
3.0630 -3.0630 5.7120
3.0630 3.0630 -5.7120
Rb Sr P F
2 1 1 6
Direct
0.2500 0.7500 0.5000
0.7500 0.2500 0.5000
0.0000 0.0000 0.0000
0.5000 0.5000 0.0000
0.2070 0.2070 0.0000
0.2764 0.2764 0.5529
0.2764 0.7236 0.0000
0.7236 0.2764 0.0000
0.7236 0.7236 0.4471
0.7930 0.7930 0.0000
```

Peak list (10 most intense, 5 to 70 degrees two-theta, by intensity)
| d (Å) | 2θ/deg | I/Imax |
| --- | --- | --- |
| 3.451 | 25.8 | 100 |
| 3.063 | 29.2 | 36 |
| 2.856 | 31.3 | 34 |
| 2.166 | 41.7 | 32 |
| 1.835 | 49.7 | 31 |
| 1.726 | 53.1 | 27 |
| 2.699 | 33.2 | 21 |
| 2.089 | 43.3 | 20 |
| 1.743 | 52.5 | 18 |
| 1.358 | 69.2 | 15 |

***

The following is a theoretical PXRD pattern of V4Tc3Ru. It was derived from the PBE geometry in Alexandria, using Cu Kα (λ = 1.5418 Å).

Cell and atoms:
```
V4Tc3Ru
1.0
3.0254 0.0000 0.0000
0.0000 4.2722 0.0000
0.0000 0.0000 8.5391
V Tc Ru
4 3 1
Direct
0.0000 0.0000 0.0000
0.0000 0.0000 0.5000
0.0000 0.5000 0.2466
0.0000 0.5000 0.7534
0.5000 0.0000 0.2525
0.5000 0.0000 0.7475
0.5000 0.5000 0.0000
0.5000 0.5000 0.5000
```

Peak list (7 most intense, 5 to 70 degrees two-theta, by intensity)
| d (Å) | 2θ/deg | I/Imax |
| --- | --- | --- |
| 2.137 | 42.3 | 100 |
| 3.022 | 29.6 | 15 |
| 1.510 | 61.4 | 10 |
| 1.513 | 61.3 | 5 |
| 1.352 | 69.6 | 5 |
| 1.745 | 52.4 | 4 |
| 1.350 | 69.6 | 1 |

***

The following is a theoretical PXRD pattern of Rb3TlSe2. It was derived from the PBE geometry in Alexandria, using Cu Kα (λ = 1.5418 Å).

Cell and atoms:
```
Rb3TlSe2
1.0
13.3135 0.0000 0.0000
0.0000 4.8835 0.0000
0.0000 0.0000 15.4161
Rb Tl Se
12 4 8
Direct
0.0747 0.2500 0.0873
0.1305 0.7500 0.5423
0.1602 0.2500 0.8109
0.3398 0.7500 0.3109
0.3695 0.2500 0.0423
0.4253 0.7500 0.5873
0.5747 0.2500 0.4127
0.6305 0.7500 0.9577
0.6602 0.2500 0.6891
0.8398 0.7500 0.1891
0.8695 0.2500 0.4577
0.9253 0.7500 0.9127
0.1485 0.2500 0.3156
0.3515 0.7500 0.8156
0.6485 0.2500 0.1844
0.8515 0.7500 0.6844
0.0223 0.7500 0.3433
0.1864 0.7500 0.9652
0.3136 0.2500 0.4652
0.4777 0.2500 0.8433
0.5223 0.7500 0.1567
0.6864 0.7500 0.5348
0.8136 0.2500 0.0348
0.9777 0.2500 0.6567
```

Peak list (10 most intense, 5 to 70 degrees two-theta, by intensity)
| d (Å) | 2θ/deg | I/Imax |
| --- | --- | --- |
| 3.507 | 25.4 | 100 |
| 3.021 | 29.6 | 72 |
| 6.670 | 13.3 | 62 |
| 3.702 | 24.0 | 57 |
| 2.500 | 35.9 | 53 |
| 2.442 | 36.8 | 49 |
| 2.590 | 34.6 | 41 |
| 6.111 | 14.5 | 35 |
| 3.330 | 26.8 | 30 |
| 3.938 | 22.6 | 26 |

***

The following is a theoretical PXRD pattern of Cs2BaHg2I6. It was derived from the PBE geometry in Alexandria, using Cu Kα (λ = 1.5418 Å).

Cell and atoms:
```
Cs2BaHg2I6
1.0
7.1379 -4.4926 0.0000
7.1379 4.4926 0.0000
-4.2065 0.0000 9.0995
Cs Ba Hg I
2 1 2 6
Direct
0.2010 0.2010 0.1768
0.7990 0.7990 0.8232
0.0000 0.0000 0.5000
0.4699 0.4699 0.6110
0.5301 0.5301 0.3890
0.1786 0.7136 0.1930
0.2606 0.2606 0.6013
0.2864 0.8214 0.8070
0.7136 0.1786 0.1930
0.7394 0.7394 0.3987
0.8214 0.2864 0.8070
```

Peak list (10 most intense, 5 to 70 degrees two-theta, by intensity)
| d (Å) | 2θ/deg | I/Imax |
| --- | --- | --- |
| 3.168 | 28.2 | 100 |
| 4.028 | 22.1 | 89 |
| 3.560 | 25.0 | 70 |
| 9.100 | 9.7 | 66 |
| 3.076 | 29.0 | 59 |
| 2.475 | 36.3 | 52 |
| 3.276 | 27.2 | 52 |
| 6.479 | 13.7 | 50 |
| 4.368 | 20.3 | 50 |
| 2.246 | 40.1 | 43 |

***

The following is a theoretical PXRD pattern of Na2Ac3Hg7. It was derived from the PBE geometry in Alexandria, using Cu Kα (λ = 1.5418 Å).

Cell and atoms:
```
Na2Ac3Hg7
1.0
4.8980 0.0000 0.0000
0.0000 4.5369 0.0000
-2.4426 0.0000 17.2891
Na Ac Hg
2 3 7
Direct
0.1338 0.0000 0.2682
0.8662 0.0000 0.7318
0.0000 0.0000 0.0000
0.2992 0.5000 0.5981
0.7008 0.5000 0.4019
0.0729 0.5000 0.1475
0.2224 0.0000 0.4446
0.4252 0.0000 0.8486
0.5000 0.5000 0.0000
0.5748 0.0000 0.1514
0.7776 0.0000 0.5554
0.9271 0.5000 0.8525
```

Peak list (10 most intense, 5 to 70 degrees two-theta, by intensity)
| d (Å) | 2θ/deg | I/Imax |
| --- | --- | --- |
| 2.999 | 29.8 | 100 |
| 2.516 | 35.7 | 40 |
| 8.645 | 10.2 | 33 |
| 2.449 | 36.7 | 22 |
| 2.268 | 39.7 | 18 |
| 1.500 | 61.9 | 17 |
| 2.470 | 36.4 | 15 |
| 1.664 | 55.2 | 14 |
| 1.414 | 66.1 | 11 |
| 1.597 | 57.7 | 11 |

***

The following is a theoretical PXRD pattern of HfMn22B6. It was derived from the PBE geometry in Alexandria, using Cu Kα (λ = 1.5418 Å).

Cell and atoms:
```
HfMn22B6
1.0
0.0000 5.2930 5.2930
5.2930 0.0000 5.2930
5.2930 5.2930 0.0000
Hf Mn B
1 22 6
Direct
0.0000 0.0000 0.0000
0.0000 0.0000 0.3533
0.0000 0.0000 0.6467
0.0000 0.3533 0.0000
0.0000 0.3533 0.6467
0.0000 0.6467 0.0000
0.0000 0.6467 0.3533
0.1435 0.6188 0.6188
0.2500 0.2500 0.2500
0.3533 0.0000 0.0000
0.3533 0.0000 0.6467
0.3533 0.6467 0.0000
0.3812 0.3812 0.3812
0.3812 0.3812 0.8565
0.3812 0.8565 0.3812
0.6188 0.1435 0.6188
0.6188 0.6188 0.1435
0.6188 0.6188 0.6188
0.6467 0.0000 0.0000
0.6467 0.0000 0.3533
0.6467 0.3533 0.0000
0.7500 0.7500 0.7500
0.8565 0.3812 0.3812
0.2706 0.2706 0.7294
0.2706 0.7294 0.2706
0.2706 0.7294 0.7294
0.7294 0.2706 0.2706
0.7294 0.2706 0.7294
0.7294 0.7294 0.2706
```

Peak list (10 most intense, 5 to 70 degrees two-theta, by intensity)
| d (Å) | 2θ/deg | I/Imax |
| --- | --- | --- |
| 2.037 | 44.5 | 100 |
| 2.161 | 41.8 | 36 |
| 1.871 | 48.7 | 27 |
| 3.192 | 28.0 | 18 |
| 1.764 | 51.8 | 14 |
| 6.112 | 14.5 | 13 |
| 3.056 | 29.2 | 12 |
| 1.789 | 51.0 | 7 |
| 1.378 | 68.0 | 4 |
| 1.674 | 54.8 | 4 |

***

The following is a theoretical PXRD pattern of Cs2K6AgO. It was derived from the PBE geometry in Alexandria, using Cu Kα (λ = 1.5418 Å).

Cell and atoms:
```
Cs2K6AgO
1.0
0.0000 5.6636 9.6284
5.5469 0.0000 9.6284
5.5469 5.6636 0.0000
Cs K Ag O
2 6 1 1
Direct
0.0000 0.0000 0.5000
0.5000 0.5000 0.0000
0.3597 0.3597 0.6403
0.4229 0.9729 0.5771
0.4257 0.9796 0.0204
0.8675 0.8675 0.1325
0.9729 0.4229 0.0271
0.9796 0.4257 0.5743
0.5766 0.5766 0.4234
0.2294 0.2294 0.7706
```

Peak list (10 most intense, 5 to 70 degrees two-theta, by intensity)
| d (Å) | 2θ/deg | I/Imax |
| --- | --- | --- |
| 3.666 | 24.3 | 100 |
| 2.775 | 32.3 | 31 |
| 9.628 | 9.2 | 30 |
| 4.809 | 18.5 | 28 |
| 3.636 | 24.5 | 26 |
| 3.963 | 22.4 | 23 |
| 1.982 | 45.8 | 21 |
| 3.060 | 29.2 | 20 |
| 4.882 | 18.2 | 20 |
| 4.988 | 17.8 | 20 |

***

The following is a theoretical PXRD pattern of U4SnSe8. It was derived from the PBE geometry in Alexandria, using Cu Kα (λ = 1.5418 Å).

Cell and atoms:
```
U4SnSe8
1.0
7.1061 -4.1380 0.0000
7.1061 4.1380 0.0000
-7.0162 0.0000 7.1528
U Sn Se
4 1 8
Direct
0.2379 0.2379 0.4969
0.2455 0.7545 0.0000
0.7545 0.2455 0.0000
0.7621 0.7621 0.5031
0.5000 0.5000 0.5000
0.0326 0.0326 0.8375
0.0361 0.5201 0.3303
0.4803 0.4803 0.1746
0.4799 0.9639 0.6697
0.5201 0.0361 0.3303
0.5197 0.5197 0.8254
0.9639 0.4799 0.6697
0.9674 0.9674 0.1625
```

Peak list (10 most intense, 5 to 70 degrees two-theta, by intensity)
| d (Å) | 2θ/deg | I/Imax |
| --- | --- | --- |
| 7.106 | 12.5 | 100 |
| 3.190 | 28.0 | 64 |
| 2.533 | 35.4 | 51 |
| 2.067 | 43.8 | 49 |
| 2.515 | 35.7 | 46 |
| 3.580 | 24.9 | 39 |
| 3.211 | 27.8 | 33 |
| 1.980 | 45.8 | 27 |
| 1.604 | 57.5 | 15 |
| 2.505 | 35.9 | 14 |

***

The following is a theoretical PXRD pattern of Mg2Cu5Ge4. It was derived from the PBE geometry in Alexandria, using Cu Kα (λ = 1.5418 Å).

Cell and atoms:
```
Mg2Cu5Ge4
1.0
0.0000 4.4714 8.0884
2.5427 0.0000 8.0884
2.5427 4.4714 0.0000
Mg Cu Ge
2 5 4
Direct
0.0968 0.0968 0.9032
0.9032 0.9032 0.0968
0.0000 0.0000 0.5000
0.2500 0.2500 0.2500
0.5000 0.5000 0.0000
0.5000 0.5000 0.5000
0.7500 0.7500 0.7500
0.2133 0.5260 0.4740
0.4740 0.7867 0.2133
0.5260 0.2133 0.7867
0.7867 0.4740 0.5260
```

Peak list (10 most intense, 5 to 70 degrees two-theta, by intensity)
| d (Å) | 2θ/deg | I/Imax |
| --- | --- | --- |
| 2.153 | 42.0 | 100 |
| 4.471 | 19.9 | 84 |
| 1.940 | 46.8 | 83 |
| 4.264 | 20.8 | 80 |
| 2.321 | 38.8 | 79 |
| 1.957 | 46.4 | 64 |
| 2.022 | 44.8 | 55 |
| 2.013 | 45.0 | 45 |
| 2.540 | 35.3 | 38 |
| 2.048 | 44.2 | 31 |

***

The following is a theoretical PXRD pattern of Na3AsPt. It was derived from the PBE geometry in Alexandria, using Cu Kα (λ = 1.5418 Å).

Cell and atoms:
```
Na3AsPt
1.0
5.5028 -4.6479 0.0000
5.5028 4.6479 0.0000
-1.4378 0.0000 5.3817
Na As Pt
6 2 2
Direct
0.1130 0.6836 0.7021
0.2296 0.2296 0.8697
0.3164 0.8870 0.2979
0.6836 0.1130 0.7021
0.7704 0.7704 0.1303
0.8870 0.3164 0.2979
0.3159 0.3159 0.4090
0.6841 0.6841 0.5910
0.4971 0.4971 0.2337
0.5029 0.5029 0.7663
```

Peak list (10 most intense, 5 to 70 degrees two-theta, by intensity)
| d (Å) | 2θ/deg | I/Imax |
| --- | --- | --- |
| 6.998 | 12.6 | 100 |
| 4.649 | 19.1 | 29 |
| 2.975 | 30.0 | 18 |
| 2.389 | 37.6 | 11 |
| 2.380 | 37.8 | 11 |
| 5.316 | 16.7 | 10 |
| 2.694 | 33.3 | 9 |
| 2.307 | 39.0 | 9 |
| 2.073 | 43.7 | 9 |
| 2.324 | 38.7 | 8 |